(1)
Starting from a structure optimized by DFT (GGA-PBE), the powder XRD pattern of Sr3Ho4S8 was simulated for λ = 1.5418 Å (Cu Kα).

Structural model:
a = 11.4182 Å, b = 11.4534 Å, c = 8.0018 Å
α = 90.00°, β = 134.12°, γ = 90.00°
Space group C2/m (No. 12)
Asymmetric unit:
1 Sr 0.0000 0.0000 0.0000 (multiplicity 2)
2 Sr 0.2500 0.2500 0.0000 (multiplicity 4)
3 Ho 0.0000 0.5000 0.0000 (multiplicity 2)
4 Ho 0.0000 0.5000 0.5000 (multiplicity 2)
5 Ho 0.2500 0.2500 0.5000 (multiplicity 4)
6 S 0.0000 0.2578 0.0000 (multiplicity 4)
7 S 0.0000 0.2592 0.5000 (multiplicity 4)
8 S 0.2261 0.5000 0.9736 (multiplicity 4)
9 S 0.2358 0.5000 0.4842 (multiplicity 4)

Principal peaks in the range 10° ≤ 2θ ≤ 90°, most intense first:
two_theta  d/Å  Rel. int.
31.2  2.868  100.0
31.3  2.854  49.4
26.7  3.333  44.0
27.2  3.280  41.8
13.3  6.665  36.8
44.7  2.028  35.8
44.8  2.021  35.5
55.1  1.666  18.7
44.2  2.049  18.3
56.1  1.640  18.2

=====

(2)
Starting from a structure optimized by DFT (GGA-PBE), the powder XRD pattern of Sr3HoS4 was simulated for λ = 1.5418 Å (Cu Kα).

Structural model:
a = 8.3698 Å, b = 11.7778 Å, c = 4.1456 Å
α = 90.00°, β = 90.00°, γ = 90.00°
Space group Cmmm (No. 65)
Asymmetric unit:
1 Sr 0.0000 0.0000 0.0000 (multiplicity 2)
2 Sr 0.2500 0.2500 0.5000 (multiplicity 4)
3 Ho 0.0000 0.5000 0.0000 (multiplicity 2)
4 S 0.0000 0.2609 0.0000 (multiplicity 4)
5 S 0.2316 0.5000 0.5000 (multiplicity 4)

Principal peaks in the range 10° ≤ 2θ ≤ 90°, most intense first:
two_theta  d/Å  Rel. int.
30.4  2.945  100.0
43.5  2.082  47.7
26.1  3.411  26.4
26.3  3.390  25.6
71.7  1.317  20.7
54.1  1.695  12.4
53.7  1.706  12.3
43.2  2.092  12.0
43.7  2.073  11.9
13.0  6.823  11.6

=====

(3)
Starting from a structure optimized by DFT (GGA-PBE), the powder XRD pattern of SrHoTm4S8 was simulated for λ = 1.5418 Å (Cu Kα).

Structural model:
a = 8.0651 Å, b = 8.0651 Å, c = 19.8259 Å
α = 90.00°, β = 90.00°, γ = 120.00°
Space group R3m (No. 160, hexagonal axes)
Asymmetric unit:
1 Sr 0.0000 0.0000 0.0000 (multiplicity 3)
2 Ho 0.0000 0.0000 0.6275 (multiplicity 3)
3 Tm 0.0000 0.0000 0.2507 (multiplicity 3)
4 Tm 0.1692 0.3383 0.4582 (multiplicity 9)
5 S 0.0000 0.0000 0.3832 (multiplicity 3)
6 S 0.0000 0.0000 0.8605 (multiplicity 3)
7 S 0.0380 0.5190 0.3813 (multiplicity 9)
8 S 0.1759 0.3518 0.2057 (multiplicity 9)

Principal peaks in the range 10° ≤ 2θ ≤ 90°, most intense first:
two_theta  d/Å  Rel. int.
25.9  3.443  100.0
41.1  2.197  34.0
44.8  2.021  29.7
45.0  2.016  29.6
31.3  2.855  26.7
13.4  6.594  20.7
22.0  4.038  20.1
27.0  3.297  19.1
82.9  1.165  14.1
41.0  2.200  12.1

=====

(4)
Starting from a structure optimized by DFT (GGA-PBE), the powder XRD pattern of HoTaS3 was simulated for λ = 1.5418 Å (Cu Kα).

Structural model:
a = 3.5506 Å, b = 6.9818 Å, c = 8.4465 Å
α = 79.36°, β = 77.94°, γ = 75.28°
Space group P-1 (No. 2)
Asymmetric unit:
1 Ho 0.0877 0.2353 0.0883 (multiplicity 2)
2 Ta 0.2506 0.3806 0.6193 (multiplicity 2)
3 S 0.1035 0.7472 0.5452 (multiplicity 2)
4 S 0.3232 0.0438 0.8092 (multiplicity 2)
5 S 0.3917 0.5492 0.1650 (multiplicity 2)

Principal peaks in the range 10° ≤ 2θ ≤ 90°, most intense first:
two_theta  d/Å  Rel. int.
37.3  2.411  100.0
23.9  3.728  68.4
37.6  2.392  68.3
26.7  3.337  60.7
13.2  6.687  59.2
42.0  2.149  56.8
32.2  2.778  48.3
27.4  3.258  41.2
27.1  3.291  41.0
15.9  5.571  35.6

=====

(5)
Starting from a structure optimized by DFT (GGA-PBE), the powder XRD pattern of Tb4Ho3S8 was simulated for λ = 1.5418 Å (Cu Kα).

Structural model:
a = 11.0285 Å, b = 11.0300 Å, c = 7.7954 Å
α = 90.00°, β = 134.96°, γ = 90.00°
Space group C2/m (No. 12)
Asymmetric unit:
1 Tb 0.0000 0.0000 0.0000 (multiplicity 2)
2 Tb 0.0000 0.5000 0.5000 (multiplicity 2)
3 Tb 0.2500 0.2500 0.0000 (multiplicity 4)
4 Ho 0.0000 0.5000 0.0000 (multiplicity 2)
5 Ho 0.2500 0.2500 0.5000 (multiplicity 4)
6 S 0.0000 0.2482 0.5000 (multiplicity 4)
7 S 0.0000 0.2513 0.0000 (multiplicity 4)
8 S 0.2494 0.0000 0.5026 (multiplicity 4)
9 S 0.2496 0.0000 0.9966 (multiplicity 4)

Principal peaks in the range 10° ≤ 2θ ≤ 90°, most intense first:
two_theta  d/Å  Rel. int.
32.5  2.758  100.0
28.0  3.184  72.2
46.6  1.950  71.8
55.2  1.663  35.5
77.4  1.233  31.9
57.9  1.592  24.8
86.4  1.126  24.7
75.1  1.265  14.4
13.9  6.368  12.7
68.0  1.379  11.5

=====

(6)
Starting from a structure optimized by DFT (GGA-PBE), the powder XRD pattern of Tb3HoS4 was simulated for λ = 1.5418 Å (Cu Kα).

Structural model:
a = 7.8900 Å, b = 11.0816 Å, c = 3.8853 Å
α = 90.00°, β = 90.00°, γ = 90.00°
Space group Cmmm (No. 65)
Asymmetric unit:
1 Tb 0.0000 0.0000 0.0000 (multiplicity 2)
2 Tb 0.2500 0.2500 0.5000 (multiplicity 4)
3 Ho 0.0000 0.5000 0.0000 (multiplicity 2)
4 S 0.0000 0.2514 0.0000 (multiplicity 4)
5 S 0.2471 0.5000 0.5000 (multiplicity 4)

Principal peaks in the range 10° ≤ 2θ ≤ 90°, most intense first:
two_theta  d/Å  Rel. int.
32.3  2.769  100.0
46.4  1.958  48.0
27.8  3.214  41.3
28.0  3.181  40.3
77.0  1.238  21.4
54.8  1.676  13.4
55.3  1.662  13.1
57.3  1.607  12.7
46.0  1.972  12.3
58.0  1.591  12.3

=====

(7)
Starting from a structure optimized by DFT (GGA-PBE), the powder XRD pattern of Tb5Ho3S8 was simulated for λ = 1.5418 Å (Cu Kα).

Structural model:
a = 7.8211 Å, b = 7.8211 Å, c = 19.1747 Å
α = 90.00°, β = 90.00°, γ = 120.00°
Space group R-3m (No. 166, hexagonal axes)
Asymmetric unit:
1 Tb 0.0000 0.0000 0.0000 (multiplicity 3)
2 Tb 0.0000 0.0000 0.5000 (multiplicity 3)
3 Tb 0.0000 0.5000 0.0000 (multiplicity 9)
4 Ho 0.0000 0.5000 0.5000 (multiplicity 9)
5 S 0.0000 0.0000 0.2485 (multiplicity 6)
6 S 0.0020 0.5010 0.7510 (multiplicity 18)

Principal peaks in the range 10° ≤ 2θ ≤ 90°, most intense first:
two_theta  d/Å  Rel. int.
32.4  2.766  100.0
27.9  3.194  81.9
46.4  1.956  72.0
55.1  1.668  39.9
77.1  1.237  32.1
57.7  1.597  24.9
86.1  1.129  24.8
74.8  1.269  16.2
67.8  1.383  11.5

=====

(8)
Starting from a structure optimized by DFT (GGA-PBE), the powder XRD pattern of Tb4Ho2S9 was simulated for λ = 1.5418 Å (Cu Kα).

Structural model:
a = 6.9256 Å, b = 6.9256 Å, c = 18.5321 Å
α = 90.00°, β = 90.00°, γ = 120.00°
Space group P-3c1 (No. 165)
Asymmetric unit:
1 Tb 0.3333 0.6667 0.1840 (multiplicity 4)
2 Tb 0.3333 0.6667 0.4820 (multiplicity 4)
3 Ho 0.0000 0.0000 0.1500 (multiplicity 4)
4 S 0.0000 0.2986 0.2500 (multiplicity 6)
5 S 0.0340 0.3636 0.5833 (multiplicity 12)

Principal peaks in the range 10° ≤ 2θ ≤ 90°, most intense first:
two_theta  d/Å  Rel. int.
25.7  3.463  100.0
24.3  3.667  98.0
39.1  2.305  82.6
45.4  1.999  48.7
44.5  2.036  46.9
35.7  2.517  46.9
17.6  5.035  41.1
51.6  1.771  25.0
61.4  1.510  21.1
65.0  1.435  19.9

=====

Please write out number 1 again, unchanged.
Starting from a structure optimized by DFT (GGA-PBE), the powder XRD pattern of Sr3Ho4S8 was simulated for λ = 1.5418 Å (Cu Kα).

Structural model:
a = 11.4182 Å, b = 11.4534 Å, c = 8.0018 Å
α = 90.00°, β = 134.12°, γ = 90.00°
Space group C2/m (No. 12)
Asymmetric unit:
1 Sr 0.0000 0.0000 0.0000 (multiplicity 2)
2 Sr 0.2500 0.2500 0.0000 (multiplicity 4)
3 Ho 0.0000 0.5000 0.0000 (multiplicity 2)
4 Ho 0.0000 0.5000 0.5000 (multiplicity 2)
5 Ho 0.2500 0.2500 0.5000 (multiplicity 4)
6 S 0.0000 0.2578 0.0000 (multiplicity 4)
7 S 0.0000 0.2592 0.5000 (multiplicity 4)
8 S 0.2261 0.5000 0.9736 (multiplicity 4)
9 S 0.2358 0.5000 0.4842 (multiplicity 4)

Principal peaks in the range 10° ≤ 2θ ≤ 90°, most intense first:
two_theta  d/Å  Rel. int.
31.2  2.868  100.0
31.3  2.854  49.4
26.7  3.333  44.0
27.2  3.280  41.8
13.3  6.665  36.8
44.7  2.028  35.8
44.8  2.021  35.5
55.1  1.666  18.7
44.2  2.049  18.3
56.1  1.640  18.2

=====

Question: Number 5 is which compound?
Answer: Tb4Ho3S8